Record 1
The following is a theoretical powder X-ray diffraction pattern of LiTbGd. It was derived from a DFT-relaxed cell (GGA-PBE, Alexandria), using Cu Kα (λ = 1.5418 Å).
Intensities are scaled so that the largest is 100.

The 10 most intense peaks (10 to 90 degrees two-theta), by angle:
d_spacing  I (rel.)  h k l
8.354  70.1  0 0 1
4.177  18.2  0 0 2
3.025  21.5  1 0 0
2.844  100.0  1 0 1
2.785  25.3  0 0 3
2.450  63.9  0 1 2
2.049  14.5  1 0 3
1.746  19.3  1 1 0
1.719  23.5  1 0 4
1.479  22.3  1 1 3

Cell and atoms:
Cell lengths 3.4928, 3.4928, 8.3538 Å; angles 90.00, 90.00, 120.00 degrees
Space group P3m1 (No. 156)
Asymmetric unit:
1 Li 0.0000 0.0000 0.0000 [1 per cell]
2 Tb 0.3333 0.6667 0.6714 [1 per cell]
3 Gd 0.6667 0.3333 0.3323 [1 per cell]



Record 2
The following is a theoretical powder X-ray diffraction pattern of LiTbGd. It was derived from a DFT-relaxed cell (GGA-PBE, Alexandria), using Cu Kα (λ = 1.5418 Å).
Intensities are scaled so that the largest is 100.

The 10 most intense peaks (10 to 90 degrees two-theta), by angle:
d_spacing  I (rel.)  h k l
6.302  23.6  0 0 2
3.519  56.0  1 0 1
3.151  17.7  0 0 4
2.762  100.0  1 0 3
2.591  43.8  1 1 0
2.002  19.8  1 1 4
1.832  15.8  2 0 0
1.632  18.2  1 1 6
1.616  14.0  1 0 7
1.527  33.4  2 1 3

Cell and atoms:
Cell lengths 3.665, 3.665, 12.604 Å; angles 90.00, 90.00, 90.00 degrees
Space group I4mm (No. 107)
Asymmetric unit:
1 Li 0.000 0.000 0.000 [2 per cell]
2 Tb 0.000 0.000 0.346 [2 per cell]
3 Gd 0.000 0.000 0.658 [2 per cell]



Record 3
The following is a theoretical powder X-ray diffraction pattern of NaGdLu. It was derived from a DFT-relaxed cell (GGA-PBE, Alexandria), using Cu Kα (λ = 1.5418 Å).
Intensities are scaled so that the largest is 100.

The 10 most intense peaks (10 to 90 degrees two-theta), by angle:
d_spacing  I (rel.)  h k l
7.986  65.8  0 0 2
3.435  18.4  1 0 1
2.935  100.0  1 0 3
2.662  17.2  0 0 6
2.487  32.9  1 1 0
2.375  14.3  1 1 2
2.365  22.6  1 0 5
1.817  22.4  1 1 6
1.584  11.8  1 0 9
1.509  27.1  2 1 3

Cell and atoms:
Cell lengths 3.518, 3.518, 15.972 Å; angles 90.00, 90.00, 90.00 degrees
Space group I4mm (No. 107)
Asymmetric unit:
1 Na 0.000 0.000 0.000 [2 per cell]
2 Gd 0.000 0.000 0.680 [2 per cell]
3 Lu 0.000 0.000 0.327 [2 per cell]